No. 1
Starting from a structure optimized by DFT (GGA-PBE), the powder diffraction line list of Pr4Bi8Rh3 was calculated for copper Kα.
Neutral-atom scattering factors, no anomalous dispersion.

Main lines, low angle first (10° ≤ 2θ ≤ 80°):
- 3.369 Å, 2θ = 26.5°, intensity 18
- 3.255 Å, 2θ = 27.4°, intensity 24
- 3.119 Å, 2θ = 28.6°, intensity 42
- 2.729 Å, 2θ = 32.8°, intensity 100
- 2.668 Å, 2θ = 33.6°, intensity 15
- 2.327 Å, 2θ = 38.7°, intensity 55
- 1.961 Å, 2θ = 46.3°, intensity 18
- 1.893 Å, 2θ = 48.1°, intensity 21
- 1.646 Å, 2θ = 55.9°, intensity 19
- 1.409 Å, 2θ = 66.3°, intensity 27

Cell and atoms:
```
Pr4Bi8Rh3
1.0
4.655 0.000 0.000
0.000 4.655 0.000
0.000 0.000 19.532
Pr Bi Rh
4 8 3
Cartesian
0.000 2.327 2.195
0.000 2.327 12.032
2.327 0.000 7.499
2.327 0.000 17.337
0.000 0.000 4.841
0.000 0.000 14.691
0.000 2.327 8.216
0.000 2.327 18.137
2.327 0.000 1.395
2.327 0.000 11.316
2.327 2.327 4.834
2.327 2.327 14.698
0.000 0.000 0.000
0.000 0.000 9.766
2.327 2.327 9.766
```

***

No. 2
Starting from a structure optimized by DFT (GGA-PBE), the powder diffraction line list of Pm2Y4Th was calculated for copper Kα.
Neutral-atom scattering factors, no anomalous dispersion.

Main lines, low angle first (10° ≤ 2θ ≤ 80°):
- 3.139 Å, 2θ = 28.4°, intensity 54
- 2.903 Å, 2θ = 30.8°, intensity 51
- 2.794 Å, 2θ = 32.0°, intensity 100
- 2.734 Å, 2θ = 32.8°, intensity 95
- 2.188 Å, 2θ = 41.3°, intensity 20
- 2.078 Å, 2θ = 43.5°, intensity 17
- 1.815 Å, 2θ = 50.3°, intensity 37
- 1.667 Å, 2θ = 55.1°, intensity 21
- 1.629 Å, 2θ = 56.5°, intensity 20
- 1.539 Å, 2θ = 60.1°, intensity 44

Cell and atoms:
```
Pm2Y4Th
1.0
3.143 -1.815 0.000
3.143 1.815 0.000
-2.110 0.000 20.318
Pm Y Th
2 4 1
Cartesian
0.000 0.000 0.000
-0.010 0.000 5.825
-0.011 0.000 17.393
2.092 0.000 2.925
4.175 0.000 8.753
4.171 0.000 14.537
-0.016 0.000 11.647
```

***

No. 3
Starting from a structure optimized by DFT (GGA-PBE), the powder diffraction line list of Rb4HgBr5 was calculated for copper Kα.
Neutral-atom scattering factors, no anomalous dispersion.

Main lines, low angle first (10° ≤ 2θ ≤ 80°):
- 3.459 Å, 2θ = 25.8°, intensity 100
- 3.413 Å, 2θ = 26.1°, intensity 47
- 2.446 Å, 2θ = 36.7°, intensity 39
- 2.430 Å, 2θ = 37.0°, intensity 74
- 1.988 Å, 2θ = 45.6°, intensity 41
- 1.729 Å, 2θ = 53.0°, intensity 15
- 1.547 Å, 2θ = 59.8°, intensity 18
- 1.543 Å, 2θ = 60.0°, intensity 18
- 1.530 Å, 2θ = 60.5°, intensity 16
- 1.409 Å, 2θ = 66.3°, intensity 26

Cell and atoms:
```
Rb4HgBr5
1.0
-5.469 5.469 3.413
5.469 -5.469 3.413
5.469 5.469 -3.413
Rb Hg Br
4 1 5
Cartesian
7.672 1.094 0.000
1.094 3.267 0.000
4.375 2.203 3.413
-2.203 4.375 3.413
0.000 0.000 3.254
0.000 0.000 0.211
4.433 2.294 0.002
3.176 -1.037 3.415
2.294 6.506 0.002
1.037 3.176 3.415
```